Computed powder diffractogram
Compound: MgTiVP3O12
Radiation: Cu Kα X-rays
Structure: a structure optimized by DFT (PBE+U)
Intensities are scaled so that the largest is 100.

Most intense lines, 10 to 90 degrees two-theta, by angle:
d 4.319, intensity 36; d 4.266, intensity 19; d 3.665, intensity 100; d 3.035, intensity 14; d 2.802, intensity 15; d 2.701, intensity 38; d 2.494, intensity 21; d 1.912, intensity 19; d 1.832, intensity 15; d 1.633, intensity 13

Structure:
Cell: 8.5323 8.5323 8.5323 Å, 60.83 60.83 60.83°
Element x y z (fractional)
Mg (0.0000, 0.0000, 0.0000)
Mg (0.5000, 0.5000, 0.5000)
Ti (0.1461, 0.1461, 0.1461)
Ti (0.6461, 0.6461, 0.6461)
V (0.3593, 0.3593, 0.3593)
V (0.8593, 0.8593, 0.8593)
P (0.0458, 0.7547, 0.4557)
P (0.2547, 0.5458, 0.9557)
P (0.4557, 0.0458, 0.7547)
P (0.5458, 0.9557, 0.2547)
P (0.7547, 0.4557, 0.0458)
P (0.9557, 0.2547, 0.5458)
O (0.0029, 0.8241, 0.6098)
O (0.0041, 0.1875, 0.3819)
O (0.0549, 0.9141, 0.2581)
O (0.0958, 0.7419, 0.9396)
O (0.1098, 0.3241, 0.5029)
O (0.1875, 0.3819, 0.0041)
O (0.2419, 0.5958, 0.4396)
O (0.2581, 0.0549, 0.9141)
O (0.3241, 0.5029, 0.1098)
O (0.3819, 0.0041, 0.1875)
O (0.4141, 0.5549, 0.7581)
O (0.4396, 0.2419, 0.5958)
O (0.5029, 0.1098, 0.3241)
O (0.5041, 0.8819, 0.6875)
O (0.5549, 0.7581, 0.4141)
O (0.5958, 0.4396, 0.2419)
O (0.6098, 0.0029, 0.8241)
O (0.6875, 0.5041, 0.8819)
O (0.7419, 0.9396, 0.0958)
O (0.7581, 0.4141, 0.5549)
O (0.8241, 0.6098, 0.0029)
O (0.8819, 0.6875, 0.5041)
O (0.9141, 0.2581, 0.0549)
O (0.9396, 0.0958, 0.7419)